Entry 1:
This entry pairs a crystal structure of Li3Sn2Ge2Au4 with its simulated powder diffractogram. Radiation: Cu Kα. Structure: DFT lattice parameters and positions (PBE).

Peak list (10 most intense, 5 to 70 degrees two-theta, in order of rising 2θ)
d (Å)  Position (°2θ)  intensity
3.874  23.0  97
3.299  27.0  44
3.147  28.4  43
2.846  31.4  43
2.443  36.8  48
2.237  40.3  100
2.111  42.8  34
1.937  46.9  15
1.823  50.0  55
1.631  56.4  19

Structural model:
Cell: 4.473 4.473 12.589 Å, 90.00 90.00 120.00°
Fractional positions:
Li 0.000 0.000 0.000
Li 0.000 0.000 0.240
Li 0.000 0.000 0.760
Sn 0.333 0.667 0.582
Sn 0.667 0.333 0.418
Ge 0.333 0.667 0.133
Ge 0.667 0.333 0.867
Au 0.333 0.667 0.341
Au 0.333 0.667 0.895
Au 0.667 0.333 0.105
Au 0.667 0.333 0.659

***

Entry 2:
This entry pairs a crystal structure of Li2YGe2Au2 with its simulated powder diffractogram. Radiation: Cu Kα. Structure: DFT lattice parameters and positions (PBE).

Peak list (10 most intense, 5 to 70 degrees two-theta, in order of rising 2θ)
d (Å)  Position (°2θ)  intensity
3.863  23.0  51
3.738  23.8  66
3.600  24.7  31
2.933  30.5  39
2.493  36.0  100
2.187  41.3  94
1.903  47.8  46
1.667  55.1  17
1.644  55.9  28
1.448  64.3  20

Structural model:
Cell: 8.129 8.129 8.129 Å, 31.21 31.21 31.21°
Fractional positions:
Li 0.142 0.142 0.142
Li 0.858 0.858 0.858
Y 0.000 0.000 0.000
Ge 0.259 0.259 0.259
Ge 0.741 0.741 0.741
Au 0.430 0.430 0.430
Au 0.570 0.570 0.570

***

Entry 3:
This entry pairs a crystal structure of Li3Zn2Ge2Au4 with its simulated powder diffractogram. Radiation: Cu Kα. Structure: DFT lattice parameters and positions (PBE).

Peak list (10 most intense, 5 to 70 degrees two-theta, in order of rising 2θ)
d (Å)  Position (°2θ)  intensity
3.826  23.2  98
3.209  27.8  88
2.945  30.3  55
2.334  38.6  58
2.209  40.9  100
1.819  50.1  19
1.767  51.7  76
1.747  52.4  22
1.604  57.4  18
1.404  66.6  16

Structural model:
Cell: 4.418 4.418 11.782 Å, 90.00 90.00 120.00°
Fractional positions:
Li 0.000 0.000 0.000
Li 0.000 0.000 0.256
Li 0.000 0.000 0.744
Zn 0.333 0.667 0.581
Zn 0.667 0.333 0.419
Ge 0.333 0.667 0.134
Ge 0.667 0.333 0.866
Au 0.333 0.667 0.358
Au 0.333 0.667 0.875
Au 0.667 0.333 0.125
Au 0.667 0.333 0.642